(1)
The following is a theoretical X-ray diffraction stick pattern of Ti10O13. It was derived from DFT lattice parameters and positions (PBE), using Cu Ka.
No peak broadening, texture or thermal motion is included.

Structure:
Cell: 9.3114 4.1598 12.1376 Å, 90.00 94.23 90.00°
Space group C2/m (No. 12)
Symmetry-distinct sites (fractional):
Ti: 0.0510 0.0000 0.3759 x4
Ti: 0.0662 0.5000 0.7688 x4
Ti: 0.1178 0.0000 0.1544 x4
Ti: 0.1683 0.5000 0.5400 x4
Ti: 0.1933 0.0000 0.9293 x4
O: 0.0000 0.0000 0.0000 x2
O: 0.0370 0.5000 0.3894 x4
O: 0.0787 0.0000 0.7733 x4
O: 0.1204 0.5000 0.1532 x4
O: 0.1427 0.0000 0.5414 x4
O: 0.1841 0.5000 0.9208 x4
O: 0.2380 0.0000 0.3037 x4

Top 8 peaks for 2θ from 5° to 70°, by intensity:
2θ/deg	d/Å	Rel. int.
43.46	2.082	100
43.52	2.080	47
37.42	2.403	45
63.13	1.473	39
63.23	1.471	38
24.36	3.654	20
25.02	3.559	12
23.27	3.823	12

***

(2)
The following is a theoretical X-ray diffraction stick pattern of AgSbOs2. It was derived from DFT lattice parameters and positions (PBE), using Cu Ka.
No peak broadening, texture or thermal motion is included.

Structure:
Cell: 7.5356 2.8610 7.3679 Å, 90.00 97.13 90.00°
Space group Cm (No. 8)
Symmetry-distinct sites (fractional):
Ag: 0.0000 0.0000 0.0000 x2
Sb: 0.2725 0.5000 0.3031 x2
Os: 0.0144 0.5000 0.5689 x2
Os: 0.2636 0.0000 0.7298 x2

Top 8 peaks for 2θ from 5° to 70°, by intensity:
2θ/deg	d/Å	Rel. int.
36.30	2.475	100
12.11	7.311	70
32.05	2.793	61
48.90	1.863	44
36.44	2.465	39
49.49	1.842	26
48.71	1.869	24
42.80	2.113	14

***

(3)
The following is a theoretical X-ray diffraction stick pattern of Tb5Sm12Er. It was derived from DFT lattice parameters and positions (PBE), using Cu Ka.
No peak broadening, texture or thermal motion is included.

Structure:
Cell: 18.7052 10.8068 6.2318 Å, 90.00 109.22 90.00°
Space group C2/m (No. 12)
Symmetry-distinct sites (fractional):
Tb: 0.0000 0.0000 0.0000 x2
Tb: 0.1664 0.5000 0.9993 x4
Tb: 0.1667 0.0000 0.5002 x4
Sm: 0.0000 0.1665 0.5000 x4
Sm: 0.0000 0.3344 0.0000 x4
Sm: 0.1664 0.3340 0.4998 x8
Sm: 0.1667 0.1661 0.0004 x8
Er: 0.0000 0.5000 0.5000 x2

Top 8 peaks for 2θ from 5° to 70°, by intensity:
2θ/deg	d/Å	Rel. int.
30.39	2.941	100
35.20	2.550	34
50.71	1.800	30
60.20	1.537	29
35.32	2.541	17
60.37	1.533	14
63.19	1.471	6
63.29	1.469	6

***

(4)
The following is a theoretical X-ray diffraction stick pattern of CeHo8Tl6. It was derived from DFT lattice parameters and positions (PBE), using Cu Ka.
No peak broadening, texture or thermal motion is included.

Structure:
Cell: 9.1087 9.1087 19.4421 Å, 90.00 90.00 120.00°
Space group R-3 (No. 148, hexagonal axes)
Symmetry-distinct sites (fractional):
Ce: 0.0000 0.0000 0.0000 x3
Ho: 0.0000 0.0000 0.3322 x6
Ho: 0.0023 0.6726 0.1094 x18
Tl: 0.9996 0.3406 0.0645 x18

Top 8 peaks for 2θ from 5° to 70°, by intensity:
2θ/deg	d/Å	Rel. int.
34.10	2.629	100
33.95	2.640	97
60.94	1.520	36
48.88	1.863	35
19.49	4.554	22
23.88	3.726	21
60.67	1.526	20
61.04	1.518	19

***

(5)
The following is a theoretical X-ray diffraction stick pattern of NaCe2OsO8. It was derived from DFT lattice parameters and positions (PBE), using Cu Ka.
No peak broadening, texture or thermal motion is included.

Structure:
Cell: 4.9985 7.0784 5.0067 Å, 90.00 91.93 90.00°
Space group P2/m (No. 10)
Symmetry-distinct sites (fractional):
Na: 0.0000 0.0000 0.0000 x1
Ce: 0.5000 0.2443 0.5000 x2
Os: 0.0000 0.5000 0.0000 x1
O: 0.1828 0.3113 0.8185 x4
O: 0.2829 0.5000 0.2842 x2
O: 0.3171 0.0000 0.3186 x2

Top 8 peaks for 2θ from 5° to 70°, by intensity:
2θ/deg	d/Å	Rel. int.
30.96	2.889	100
24.76	3.596	58
25.62	3.477	52
21.76	4.084	43
47.64	1.909	40
48.63	1.872	38
12.51	7.078	33
35.92	2.500	26

***

(6)
The following is a theoretical X-ray diffraction stick pattern of Tm2Ag3Pb3. It was derived from DFT lattice parameters and positions (PBE), using Cu Ka.
No peak broadening, texture or thermal motion is included.

Structure:
Cell: 4.6520 4.7867 8.6006 Å, 90.00 90.00 90.00°
Space group Pmmm (No. 47)
Symmetry-distinct sites (fractional):
Tm: 0.0000 0.0000 0.2462 x2
Ag: 0.0000 0.5000 0.0000 x1
Ag: 0.5000 0.5000 0.2325 x2
Pb: 0.0000 0.5000 0.5000 x1
Pb: 0.5000 0.0000 0.0000 x1
Pb: 0.5000 0.0000 0.5000 x1

Top 8 peaks for 2θ from 5° to 70°, by intensity:
2θ/deg	d/Å	Rel. int.
34.01	2.636	100
37.58	2.393	19
38.71	2.326	18
65.55	1.424	15
67.07	1.395	14
42.02	2.150	14
55.05	1.668	13
57.63	1.599	11

***

Question: What is the formula in the fourth record?
Answer: CeHo8Tl6

***

Question: Number 1 is which compound?
Answer: Ti10O13

***

Question: Number 6 is which compound?
Answer: Tm2Ag3Pb3